Starting from DFT lattice parameters and positions (PBE), the powder diffractogram of HoSiGe was computed for Cu Kα (λ = 1.5418 Å).
Kinematic intensities with the Lorentz-polarization factor, no thermal factor.

Main lines, sorted by position (2θ from 5° to 70°):
Position (°2θ), d (Å), intensity, index
22.11, 4.020, 21.2, 0 0 2
25.49, 3.495, 26.4, 1 0 1
31.80, 2.814, 57.4, 0 2 2
34.30, 2.614, 100.0, 1 2 1
40.92, 2.205, 45.8, 1 0 3
46.09, 1.969, 16.5, 0 4 0
46.83, 1.940, 15.7, 2 0 0
51.01, 1.791, 16.9, 0 2 4
57.72, 1.597, 21.0, 2 2 2
63.31, 1.469, 25.0, 1 4 3
67.37, 1.390, 12.2, 1 2 5
67.80, 1.382, 10.3, 2 4 0

Structure:
```
data_HoSiGe
_chemical_formula_sum 'Ho4 Si4 Ge4'
_cell_length_a 3.8802
_cell_length_b 7.8780
_cell_length_c 8.0409
_cell_angle_alpha 90.00
_cell_angle_beta 90.00
_cell_angle_gamma 90.00
_space_group_name_H-M_alt 'I m m m'
_space_group_IT_number 71
_space_group_name_Hall '-I 2 2'
loop_
_atom_site_label
_atom_site_fract_x
_atom_site_fract_y
_atom_site_fract_z
Ho1 0.0000 0.2483 0.0000
Si1 0.0000 0.5000 0.3525
Ge1 0.0000 0.0000 0.3314
```